1.
Starting from the PBE geometry in the Materials Project, the powder XRD pattern of LiBi2As2Pb2O10 was simulated for λ = 1.5418 Å (Cu Kα).
Lines closer than 0.1° are merged.

```
data_LiBi2As2Pb2O10
_cell_length_a 5.980
_cell_length_b 7.260
_cell_length_c 7.403
_cell_angle_alpha 108.06
_cell_angle_beta 111.54
_cell_angle_gamma 91.14
_space_group_name_H-M_alt 'P 1'
_space_group_IT_number 1
_space_group_name_Hall 'P 1'
loop_
_atom_site_label
_atom_site_type_symbol
_atom_site_fract_x
_atom_site_fract_y
_atom_site_fract_z
Li1 Li 0.000 0.000 0.000
Bi1 Bi 0.416 0.273 0.996
Bi2 Bi 0.480 0.772 0.051
As1 As 0.024 0.166 0.368
As2 As 0.646 0.856 0.655
Pb1 Pb 0.080 0.604 0.307
Pb2 Pb 0.809 0.412 0.714
O1 O 0.145 0.208 0.642
O2 O 0.196 0.524 0.013
O3 O 0.203 0.235 0.243
O4 O 0.444 0.725 0.707
O5 O 0.510 0.818 0.396
O6 O 0.660 0.518 0.018
O7 O 0.713 0.098 0.819
O8 O 0.773 0.299 0.317
O9 O 0.902 0.912 0.200
O10 O 0.921 0.769 0.736
```

The 10 most intense peaks (2θ from 5° to 70°), low angle first:
Position (°2θ)	I_rel
12.98	33
25.03	98
25.89	100
28.63	77
29.08	75
29.91	54
30.93	44
33.62	36
41.87	26
45.39	26



2.
Starting from the PBE geometry in the Materials Project, the powder XRD pattern of LiBi2As2Pb2O10 was simulated for λ = 1.5418 Å (Cu Kα).
Lines closer than 0.1° are merged.

```
data_LiBi2As2Pb2O10
_cell_length_a 6.000
_cell_length_b 7.329
_cell_length_c 7.397
_cell_angle_alpha 70.40
_cell_angle_beta 82.52
_cell_angle_gamma 66.82
_space_group_name_H-M_alt 'P 1'
_space_group_IT_number 1
_space_group_name_Hall 'P 1'
loop_
_atom_site_label
_atom_site_type_symbol
_atom_site_fract_x
_atom_site_fract_y
_atom_site_fract_z
Li1 Li 0.000 0.000 0.000
Bi1 Bi 0.796 0.373 0.634
Bi2 Bi 0.896 0.393 0.145
As1 As 0.130 0.716 0.755
As2 As 0.507 0.992 0.029
Pb1 Pb 0.250 0.623 0.328
Pb2 Pb 0.496 0.034 0.513
O1 O 0.059 0.975 0.746
O2 O 0.090 0.349 0.400
O3 O 0.150 0.569 0.001
O4 O 0.215 0.064 0.126
O5 O 0.407 0.642 0.627
O6 O 0.499 0.136 0.791
O7 O 0.582 0.727 0.068
O8 O 0.627 0.332 0.405
O9 O 0.707 0.028 0.149
O10 O 0.921 0.681 0.638
```

The 10 most intense peaks (2θ from 5° to 70°), low angle first:
Position (°2θ)	I_rel
12.70	33
20.52	25
24.95	100
26.44	88
26.85	93
30.09	73
30.31	70
31.51	46
32.88	37
42.68	26



3.
Starting from the PBE geometry in the Materials Project, the powder XRD pattern of LiBi2As2Pb2O10 was simulated for λ = 1.5418 Å (Cu Kα).
Lines closer than 0.1° are merged.

```
data_LiBi2As2Pb2O10
_cell_length_a 5.861
_cell_length_b 7.423
_cell_length_c 7.495
_cell_angle_alpha 107.36
_cell_angle_beta 94.84
_cell_angle_gamma 112.01
_space_group_name_H-M_alt 'P 1'
_space_group_IT_number 1
_space_group_name_Hall 'P 1'
loop_
_atom_site_label
_atom_site_type_symbol
_atom_site_fract_x
_atom_site_fract_y
_atom_site_fract_z
Li1 Li 0.000 0.000 0.000
Bi1 Bi 0.414 0.864 0.914
Bi2 Bi 0.581 0.968 0.404
As1 As 0.169 0.274 0.823
As2 As 0.859 0.595 0.554
Pb1 Pb 0.253 0.338 0.356
Pb2 Pb 0.820 0.604 0.085
O1 O 0.077 0.172 0.576
O2 O 0.151 0.632 0.487
O3 O 0.259 0.900 0.167
O4 O 0.341 0.169 0.926
O5 O 0.378 0.535 0.898
O6 O 0.656 0.324 0.485
O7 O 0.664 0.678 0.417
O8 O 0.749 0.934 0.156
O9 O 0.913 0.224 0.926
O10 O 0.957 0.724 0.814
```

The 10 most intense peaks (2θ from 5° to 70°), low angle first:
Position (°2θ)	I_rel
24.73	42
25.54	31
25.67	100
25.90	59
27.32	65
29.56	48
30.35	43
30.62	45
45.02	28
52.80	28



4.
Starting from the PBE geometry in the Materials Project, the powder XRD pattern of LiBi2As2Pb2O10 was simulated for λ = 1.5418 Å (Cu Kα).
Lines closer than 0.1° are merged.

```
data_LiBi2As2Pb2O10
_cell_length_a 5.913
_cell_length_b 7.082
_cell_length_c 8.633
_cell_angle_alpha 70.16
_cell_angle_beta 70.24
_cell_angle_gamma 70.08
_space_group_name_H-M_alt 'P -1'
_space_group_IT_number 2
_space_group_name_Hall '-P 1'
loop_
_atom_site_label
_atom_site_type_symbol
_atom_site_fract_x
_atom_site_fract_y
_atom_site_fract_z
Li1 Li 0.000 0.000 0.000
Bi1 Bi 0.125 0.663 0.310
As1 As 0.262 0.724 0.660
Pb1 Pb 0.396 0.108 0.185
O1 O 0.031 0.597 0.761
O2 O 0.184 0.961 0.709
O3 O 0.300 0.871 0.073
O4 O 0.334 0.759 0.440
O5 O 0.470 0.408 0.267
```

The 10 most intense peaks (2θ from 5° to 70°), low angle first:
Position (°2θ)	I_rel
17.48	100
22.63	86
24.11	73
25.51	58
26.96	46
28.44	42
28.57	82
32.62	68
34.09	31
43.30	31



5.
Starting from the PBE geometry in the Materials Project, the powder XRD pattern of LiBi2As2Pb2O10 was simulated for λ = 1.5418 Å (Cu Kα).
Lines closer than 0.1° are merged.

```
data_LiBi2As2Pb2O10
_cell_length_a 5.812
_cell_length_b 7.312
_cell_length_c 7.815
_cell_angle_alpha 111.16
_cell_angle_beta 110.33
_cell_angle_gamma 95.54
_space_group_name_H-M_alt 'P 1'
_space_group_IT_number 1
_space_group_name_Hall 'P 1'
loop_
_atom_site_label
_atom_site_type_symbol
_atom_site_fract_x
_atom_site_fract_y
_atom_site_fract_z
Li1 Li 0.000 0.000 0.000
Bi1 Bi 0.681 0.788 0.562
Bi2 Bi 0.870 0.330 0.690
As1 As 0.159 0.409 0.334
As2 As 0.480 0.738 0.994
Pb1 Pb 0.133 0.973 0.381
Pb2 Pb 0.466 0.193 0.949
O1 O 0.018 0.288 0.071
O2 O 0.040 0.070 0.661
O3 O 0.237 0.675 0.425
O4 O 0.253 0.874 0.958
O5 O 0.327 0.480 0.864
O6 O 0.449 0.356 0.424
O7 O 0.554 0.067 0.646
O8 O 0.650 0.790 0.250
O9 O 0.688 0.805 0.894
O10 O 0.935 0.324 0.411
```

The 10 most intense peaks (2θ from 5° to 70°), low angle first:
Position (°2θ)	I_rel
13.37	48
23.75	26
25.13	100
25.54	67
28.04	73
28.99	31
30.67	43
30.92	48
31.45	27
35.13	27



6.
Starting from the PBE geometry in the Materials Project, the powder XRD pattern of MgBiAsO5 was simulated for λ = 1.5418 Å (Cu Kα).
Lines closer than 0.1° are merged.

```
data_MgBiAsO5
_cell_length_a 7.094
_cell_length_b 7.496
_cell_length_c 8.971
_cell_angle_alpha 90.00
_cell_angle_beta 90.00
_cell_angle_gamma 90.00
_space_group_name_H-M_alt 'P 21 21 21'
_space_group_IT_number 19
_space_group_name_Hall 'P 2ac 2ab'
loop_
_atom_site_label
_atom_site_type_symbol
_atom_site_fract_x
_atom_site_fract_y
_atom_site_fract_z
Mg1 Mg 0.086 0.196 0.063
Bi1 Bi 0.032 0.962 0.727
As1 As 0.105 0.722 0.099
O1 O 0.074 0.171 0.282
O2 O 0.093 0.925 0.010
O3 O 0.127 0.766 0.572
O4 O 0.144 0.551 0.974
O5 O 0.195 0.257 0.713
```

The 10 most intense peaks (2θ from 5° to 70°), low angle first:
Position (°2θ)	I_rel
15.93	94
19.81	31
25.11	36
25.76	23
28.72	100
31.10	27
32.17	21
32.49	44
40.37	28
46.52	18